Diffraction record for Fe2P12W. The powder XRD pattern is calculated, not measured: it uses a DFT-relaxed cell (PBE, Alexandria) and Cu Kα.
Peak positions follow from Bragg's law for the DFT cell and can differ from measured ones.

Atomic structure:
Lattice parameters (Å, degrees): 13.774 5.688 11.127 90.00 90.00 90.00
Space group Pbcn (No. 60)
One atom of each set of equivalent atoms:
Fe 0.150 0.104 0.042 (multiplicity 8)
P 0.008 0.256 0.102 (multiplicity 8)
P 0.087 0.063 0.856 (multiplicity 8)
P 0.092 0.265 0.561 (multiplicity 8)
P 0.168 0.483 0.305 (multiplicity 8)
P 0.189 0.118 0.229 (multiplicity 8)
P 0.203 0.467 0.001 (multiplicity 8)
W 0.000 0.399 0.750 (multiplicity 4)

Peak list (10 most intense, 2θ = 15–90°, by angle)
d 4.328, I = 65.5, (2 0 2)
d 3.821, I = 100.0, (1 1 2)
d 3.573, I = 45.3, (3 1 0)
d 3.402, I = 43.6, (3 1 1)
d 2.928, I = 46.2, (4 0 2)
d 2.755, I = 36.6, (0 2 1)
d 2.479, I = 34.2, (5 1 0)
d 1.888, I = 50.1, (4 2 3)
d 1.764, I = 68.7, (7 1 2)
d 1.753, I = 39.4, (0 2 5)